(1)
Computed powder XRD pattern
Compound: SrYGa2Pd5
Radiation: copper Kα
Structure: a structure optimized by DFT (GGA-PBE)

Peak list (10 most intense, 10° ≤ 2θ ≤ 80°, in order of rising 2θ)
d_spacing	Position (°2θ)	I/Imax
2.543	35.29	1000
2.499	35.94	106
2.298	39.19	117
2.160	41.82	632
1.837	49.62	78
1.574	58.67	141
1.527	60.67	157
1.370	68.52	146
1.309	72.17	238
1.272	74.64	68

Structure:
abc: 4.3176 4.3176 9.1939
angles: 90.00 90.00 90.00
Positions (direct):
Sr 0.0000 0.0000 0.0000
Y 0.0000 0.0000 0.5000
Ga 0.5000 0.5000 0.3651
Ga 0.5000 0.5000 0.6349
Pd 0.0000 0.5000 0.2358
Pd 0.0000 0.5000 0.7642
Pd 0.5000 0.0000 0.2358
Pd 0.5000 0.0000 0.7642
Pd 0.5000 0.5000 0.0000

---

(2)
Computed powder XRD pattern
Compound: MnFe14Ir
Radiation: copper Kα
Structure: a structure optimized by DFT (GGA-PBE)

Peak list (10 most intense, 10° ≤ 2θ ≤ 80°, in order of rising 2θ)
d_spacing	Position (°2θ)	I/Imax
8.095	10.93	70
4.665	19.03	48
4.055	21.92	36
4.042	21.99	79
3.057	29.21	45
2.339	38.50	39
2.031	44.61	204
2.021	44.84	1000
1.434	65.06	121
1.424	65.54	59

Structure:
abc: 4.9618 4.9618 8.0947
angles: 90.00 90.00 109.92
Positions (direct):
Mn 0.0000 0.0000 0.0000
Fe 0.0000 0.0000 0.5000
Fe 0.0000 0.5000 0.0000
Fe 0.0000 0.5000 0.5000
Fe 0.2447 0.2447 0.2543
Fe 0.2447 0.2447 0.7457
Fe 0.2500 0.7500 0.2520
Fe 0.2500 0.7500 0.7480
Fe 0.5000 0.0000 0.0000
Fe 0.5000 0.0000 0.5000
Fe 0.5000 0.5000 0.5000
Fe 0.7500 0.2500 0.2520
Fe 0.7500 0.2500 0.7480
Fe 0.7553 0.7553 0.2543
Fe 0.7553 0.7553 0.7457
Ir 0.5000 0.5000 0.0000

---

(3)
Computed powder XRD pattern
Compound: Ho3ThFe8
Radiation: copper Kα
Structure: a structure optimized by DFT (GGA-PBE)

Peak list (10 most intense, 10° ≤ 2θ ≤ 80°, in order of rising 2θ)
d_spacing	Position (°2θ)	I/Imax
4.208	21.11	231
2.577	34.82	729
2.198	41.07	1000
2.104	42.99	119
1.673	54.88	47
1.488	62.39	206
1.486	62.51	68
1.403	66.67	289
1.289	73.43	110
1.287	73.57	108

Structure:
abc: 8.9147 8.9147 8.9147
angles: 33.63 33.63 33.63
Positions (direct):
Ho 0.0000 0.0000 0.0000
Ho 0.1238 0.1238 0.1238
Ho 0.6269 0.6269 0.6269
Th 0.5004 0.5004 0.5004
Fe 0.0614 0.5624 0.5624
Fe 0.0633 0.0633 0.5638
Fe 0.0633 0.5638 0.0633
Fe 0.3134 0.3134 0.3134
Fe 0.5624 0.0614 0.5624
Fe 0.5624 0.5624 0.0614
Fe 0.5638 0.0633 0.0633
Fe 0.8121 0.8121 0.8121

---

(4)
Computed powder XRD pattern
Compound: BaMg3Sb3
Radiation: copper Kα
Structure: a structure optimized by DFT (GGA-PBE)

Peak list (10 most intense, 10° ≤ 2θ ≤ 80°, in order of rising 2θ)
d_spacing	Position (°2θ)	I/Imax
3.687	24.14	1000
2.936	30.45	490
2.369	37.99	475
2.314	38.93	329
1.993	45.51	181
1.844	49.44	125
1.809	50.45	123
1.572	58.74	117
1.525	60.73	151
1.357	69.25	116

Structure:
abc: 9.6484 9.6484 9.6484
angles: 50.33 50.33 50.33
Positions (direct):
Ba 0.1659 0.1659 0.1659
Ba 0.8341 0.8341 0.8341
Mg 0.0427 0.3700 0.7051
Mg 0.2949 0.9573 0.6300
Mg 0.3700 0.7051 0.0427
Mg 0.6300 0.2949 0.9573
Mg 0.7051 0.0427 0.3700
Mg 0.9573 0.6300 0.2949
Sb 0.0747 0.7427 0.4127
Sb 0.2573 0.5873 0.9253
Sb 0.4127 0.0747 0.7427
Sb 0.5873 0.9253 0.2573
Sb 0.7427 0.4127 0.0747
Sb 0.9253 0.2573 0.5873